Record 1
The following is a theoretical powder diffraction line list of LiTi2O4. It was derived from the PBE geometry in Alexandria, using λ = 1.5418 Å (Cu Kα).
Peak positions follow from Bragg's law for the DFT cell and can differ from measured ones.

Structure:
```
data_LiTi2O4
_cell_length_a 8.209
_cell_length_b 9.220
_cell_length_c 3.806
_cell_angle_alpha 90.00
_cell_angle_beta 90.00
_cell_angle_gamma 90.00
_symmetry_space_group_name_H-M 'P n n m'
_symmetry_Int_Tables_number 58
_symmetry_space_group_name_Hall '-P 2 2n'
loop_
_atom_site_label
_atom_site_type_symbol
_atom_site_fract_x
_atom_site_fract_y
_atom_site_fract_z
_atom_site_occupancy
Li1 Li 0.124 0.168 0.000 1
Ti1 Ti 0.117 0.606 0.000 1
Ti2 Ti 0.137 0.886 0.500 1
O1 O 0.117 0.844 0.000 1
O2 O 0.124 0.095 0.500 1
O3 O 0.126 0.388 0.000 1
O4 O 0.134 0.652 0.500 1
```

Top 6 peaks for 15 to 90 degrees two-theta, in order of rising 2θ:
23.73 deg, intensity 76, hkl 2 1 0
25.32 deg, intensity 100, hkl 0 1 1
39.08 deg, intensity 48, hkl 0 4 0
44.13 deg, intensity 42, hkl 4 0 0
47.80 deg, intensity 33, hkl 0 0 2
55.37 deg, intensity 24, hkl 0 5 1

Record 2
The following is a theoretical powder diffraction line list of Mg4HIr5. It was derived from the PBE geometry in Alexandria, using λ = 1.5418 Å (Cu Kα).
Peak positions follow from Bragg's law for the DFT cell and can differ from measured ones.

Structure:
```
data_Mg4HIr5
_cell_length_a 4.651
_cell_length_b 5.290
_cell_length_c 6.717
_cell_angle_alpha 78.46
_cell_angle_beta 72.65
_cell_angle_gamma 82.61
_symmetry_space_group_name_H-M 'P 1'
_symmetry_Int_Tables_number 1
_symmetry_space_group_name_Hall 'P 1'
loop_
_atom_site_label
_atom_site_type_symbol
_atom_site_fract_x
_atom_site_fract_y
_atom_site_fract_z
_atom_site_occupancy
Mg1 Mg 0.000 0.000 0.000 1
Mg2 Mg 0.136 0.570 0.676 1
Mg3 Mg 0.314 0.047 0.300 1
Mg4 Mg 0.704 0.234 0.513 1
H1 H 0.459 0.897 0.623 1
Ir1 Ir 0.314 0.567 0.249 1
Ir2 Ir 0.497 0.316 0.919 1
Ir3 Ir 0.597 0.828 0.860 1
Ir4 Ir 0.736 0.740 0.439 1
Ir5 Ir 0.895 0.483 0.103 1
```

Top 6 peaks for 15 to 90 degrees two-theta, in order of rising 2θ:
17.16 deg, intensity 100, hkl 0 1 0
24.04 deg, intensity 83, hkl 0 1 -1
39.16 deg, intensity 79, hkl 2 0 1
39.42 deg, intensity 63, hkl 1 0 -2
41.79 deg, intensity 68, hkl -1 1 2
42.02 deg, intensity 81, hkl 1 0 3

Record 3
The following is a theoretical powder diffraction line list of Pm12PuPb7. It was derived from the PBE geometry in Alexandria, using λ = 1.5418 Å (Cu Kα).
Peak positions follow from Bragg's law for the DFT cell and can differ from measured ones.

Structure:
```
data_Pm12PuPb7
_cell_length_a 15.8831
_cell_length_b 15.8831
_cell_length_c 9.0050
_cell_angle_alpha 90.00
_cell_angle_beta 90.00
_cell_angle_gamma 120.00
_symmetry_space_group_name_H-M 'R -3 m'
_symmetry_Int_Tables_number 166
_symmetry_space_group_name_Hall '-R 3 2"'
loop_
_atom_site_label
_atom_site_type_symbol
_atom_site_fract_x
_atom_site_fract_y
_atom_site_fract_z
_atom_site_occupancy
Pm1 Pm 0.0000 0.2747 0.0000 1
Pm2 Pm 0.1101 0.5550 0.0505 1
Pu1 Pu 0.0000 0.0000 0.0000 1
Pb1 Pb 0.0000 0.0000 0.5000 1
Pb2 Pb 0.1037 0.2075 0.7591 1
```

Top 6 peaks for 15 to 90 degrees two-theta, in order of rising 2θ:
27.77 deg, intensity 55, hkl 4 0 1
30.72 deg, intensity 100, hkl 3 1 2
33.86 deg, intensity 93, hkl 3 3 0
35.75 deg, intensity 71, hkl 0 3 3
50.69 deg, intensity 31, hkl 0 7 2
61.82 deg, intensity 27, hkl 6 3 3

Record 4
The following is a theoretical powder diffraction line list of Tb4NdHoS8. It was derived from the PBE geometry in Alexandria, using λ = 1.5418 Å (Cu Kα).
Peak positions follow from Bragg's law for the DFT cell and can differ from measured ones.

Structure:
```
data_Tb4NdHoS8
_cell_length_a 8.1234
_cell_length_b 8.1234
_cell_length_c 19.8444
_cell_angle_alpha 90.00
_cell_angle_beta 90.00
_cell_angle_gamma 120.00
_symmetry_space_group_name_H-M 'R 3 m'
_symmetry_Int_Tables_number 160
_symmetry_space_group_name_Hall 'R 3 -2"'
loop_
_atom_site_label
_atom_site_type_symbol
_atom_site_fract_x
_atom_site_fract_y
_atom_site_fract_z
_atom_site_occupancy
Tb1 Tb 0.0000 0.0000 0.0000 1
Tb2 Tb 0.1675 0.3350 0.4578 1
Nd1 Nd 0.0000 0.0000 0.2492 1
Ho1 Ho 0.0000 0.0000 0.6251 1
S1 S 0.0000 0.0000 0.3849 1
S2 S 0.0000 0.0000 0.8678 1
S3 S 0.0211 0.5106 0.3761 1
S4 S 0.1817 0.3635 0.2052 1
```

Top 6 peaks for 15 to 90 degrees two-theta, in order of rising 2θ:
21.90 deg, intensity 25, hkl 1 1 0
25.74 deg, intensity 100, hkl 0 1 5
31.17 deg, intensity 20, hkl 0 2 4
40.85 deg, intensity 42, hkl 1 2 5
44.66 deg, intensity 58, hkl 2 0 8
62.09 deg, intensity 18, hkl 4 1 3

Record 5
The following is a theoretical powder diffraction line list of AlInGa2Se6. It was derived from the PBE geometry in Alexandria, using λ = 1.5418 Å (Cu Kα).
Peak positions follow from Bragg's law for the DFT cell and can differ from measured ones.

Structure:
```
data_AlInGa2Se6
_cell_length_a 13.167
_cell_length_b 14.351
_cell_length_c 6.483
_cell_angle_alpha 90.00
_cell_angle_beta 111.16
_cell_angle_gamma 90.00
_symmetry_space_group_name_H-M 'C 1 2/c 1'
_symmetry_Int_Tables_number 15
_symmetry_space_group_name_Hall '-C 2yc'
loop_
_atom_site_label
_atom_site_type_symbol
_atom_site_fract_x
_atom_site_fract_y
_atom_site_fract_z
_atom_site_occupancy
Al1 Al 0.000 0.189 0.250 1
In1 In 0.000 0.353 0.750 1
Ga1 Ga 0.220 0.411 0.369 1
Se1 Se 0.095 0.113 0.590 1
Se2 Se 0.126 0.279 0.127 1
Se3 Se 0.178 0.430 0.710 1
```

Top 6 peaks for 15 to 90 degrees two-theta, in order of rising 2θ:
19.02 deg, intensity 25, hkl 2 2 0
20.61 deg, intensity 37, hkl 2 2 -1
26.35 deg, intensity 100, hkl 1 3 1
28.44 deg, intensity 38, hkl 1 1 -2
30.17 deg, intensity 29, hkl 4 2 -1
37.14 deg, intensity 23, hkl 5 1 0

Record 6
The following is a theoretical powder diffraction line list of AcHo2C. It was derived from the PBE geometry in Alexandria, using λ = 1.5418 Å (Cu Kα).
Peak positions follow from Bragg's law for the DFT cell and can differ from measured ones.

Structure:
```
data_AcHo2C
_cell_length_a 3.5965
_cell_length_b 3.5965
_cell_length_c 30.4198
_cell_angle_alpha 90.00
_cell_angle_beta 90.00
_cell_angle_gamma 120.00
_symmetry_space_group_name_H-M 'R -3 m'
_symmetry_Int_Tables_number 166
_symmetry_space_group_name_Hall '-R 3 2"'
loop_
_atom_site_label
_atom_site_type_symbol
_atom_site_fract_x
_atom_site_fract_y
_atom_site_fract_z
_atom_site_occupancy
Ac1 Ac 0.0000 0.0000 0.0000 1
Ho1 Ho 0.0000 0.0000 0.1230 1
C1 C 0.0000 0.0000 0.5000 1
```

Top 6 peaks for 15 to 90 degrees two-theta, in order of rising 2θ:
26.37 deg, intensity 46, hkl 0 0 9
28.81 deg, intensity 100, hkl 1 0 1
35.46 deg, intensity 53, hkl 1 0 7
37.32 deg, intensity 80, hkl 0 1 8
50.77 deg, intensity 34, hkl 1 1 0
58.10 deg, intensity 32, hkl 1 1 9

Record 7
The following is a theoretical powder diffraction line list of Rb2YCl4. It was derived from the PBE geometry in Alexandria, using λ = 1.5418 Å (Cu Kα).
Peak positions follow from Bragg's law for the DFT cell and can differ from measured ones.

Structure:
```
data_Rb2YCl4
_cell_length_a 5.357
_cell_length_b 5.357
_cell_length_c 16.812
_cell_angle_alpha 90.00
_cell_angle_beta 90.00
_cell_angle_gamma 90.00
_symmetry_space_group_name_H-M 'I 4/m m m'
_symmetry_Int_Tables_number 139
_symmetry_space_group_name_Hall '-I 4 2'
loop_
_atom_site_label
_atom_site_type_symbol
_atom_site_fract_x
_atom_site_fract_y
_atom_site_fract_z
_atom_site_occupancy
Rb1 Rb 0.000 0.000 0.142 1
Y1 Y 0.000 0.000 0.500 1
Cl1 Cl 0.000 0.000 0.338 1
Cl2 Cl 0.000 0.500 0.000 1
```

Top 6 peaks for 15 to 90 degrees two-theta, in order of rising 2θ:
22.97 deg, intensity 89, hkl 1 0 3
23.49 deg, intensity 100, hkl 1 1 0
31.80 deg, intensity 43, hkl 1 1 4
33.46 deg, intensity 95, hkl 2 0 0
40.97 deg, intensity 40, hkl 2 1 3
46.93 deg, intensity 47, hkl 2 0 6

Record 8
The following is a theoretical powder diffraction line list of Pm2ScIr. It was derived from the PBE geometry in Alexandria, using λ = 1.5418 Å (Cu Kα).
Peak positions follow from Bragg's law for the DFT cell and can differ from measured ones.

Structure:
```
data_Pm2ScIr
_cell_length_a 3.405
_cell_length_b 3.451
_cell_length_c 8.771
_cell_angle_alpha 90.00
_cell_angle_beta 90.00
_cell_angle_gamma 90.00
_symmetry_space_group_name_H-M 'P m m 2'
_symmetry_Int_Tables_number 25
_symmetry_space_group_name_Hall 'P 2 -2'
loop_
_atom_site_label
_atom_site_type_symbol
_atom_site_fract_x
_atom_site_fract_y
_atom_site_fract_z
_atom_site_occupancy
Pm1 Pm 0.000 0.000 0.000 1
Pm2 Pm 0.500 0.500 0.337 1
Sc1 Sc 0.000 0.000 0.632 1
Ir1 Ir 0.500 0.500 0.789 1
```

Top 6 peaks for 15 to 90 degrees two-theta, in order of rising 2θ:
20.25 deg, intensity 30, hkl 0 0 2
33.03 deg, intensity 100, hkl 0 1 2
33.31 deg, intensity 98, hkl 1 0 2
37.09 deg, intensity 96, hkl 1 1 0
64.12 deg, intensity 30, hkl 1 2 2
64.64 deg, intensity 29, hkl 2 1 2

Record 9
The following is a theoretical powder diffraction line list of BaZn4Rh. It was derived from the PBE geometry in Alexandria, using λ = 1.5418 Å (Cu Kα).
Peak positions follow from Bragg's law for the DFT cell and can differ from measured ones.

Structure:
```
data_BaZn4Rh
_cell_length_a 6.669
_cell_length_b 6.757
_cell_length_c 6.794
_cell_angle_alpha 92.19
_cell_angle_beta 118.86
_cell_angle_gamma 99.40
_symmetry_space_group_name_H-M 'P -1'
_symmetry_Int_Tables_number 2
_symmetry_space_group_name_Hall '-P 1'
loop_
_atom_site_label
_atom_site_type_symbol
_atom_site_fract_x
_atom_site_fract_y
_atom_site_fract_z
_atom_site_occupancy
Ba1 Ba 0.172 0.291 0.218 1
Zn1 Zn 0.222 0.862 0.561 1
Zn2 Zn 0.227 0.231 0.742 1
Zn3 Zn 0.359 0.621 0.892 1
Zn4 Zn 0.386 0.860 0.281 1
Rh1 Rh 0.000 0.500 0.500 1
Rh2 Rh 0.500 0.000 0.000 1
```

Top 6 peaks for 15 to 90 degrees two-theta, in order of rising 2θ:
22.59 deg, intensity 56, hkl 1 1 0
29.17 deg, intensity 56, hkl 0 2 -1
30.96 deg, intensity 100, hkl 2 0 -2
32.86 deg, intensity 65, hkl -2 1 2
40.76 deg, intensity 81, hkl 1 -3 0
45.92 deg, intensity 55, hkl 3 1 -2

Record 10
The following is a theoretical powder diffraction line list of Ca2NiCl. It was derived from the PBE geometry in Alexandria, using λ = 1.5418 Å (Cu Kα).
Peak positions follow from Bragg's law for the DFT cell and can differ from measured ones.

Structure:
```
data_Ca2NiCl
_cell_length_a 3.9076
_cell_length_b 3.9076
_cell_length_c 22.4993
_cell_angle_alpha 90.00
_cell_angle_beta 90.00
_cell_angle_gamma 120.00
_symmetry_space_group_name_H-M 'R 3 m'
_symmetry_Int_Tables_number 160
_symmetry_space_group_name_Hall 'R 3 -2"'
loop_
_atom_site_label
_atom_site_type_symbol
_atom_site_fract_x
_atom_site_fract_y
_atom_site_fract_z
_atom_site_occupancy
Ca1 Ca 0.0000 0.0000 0.0000 1
Ca2 Ca 0.0000 0.0000 0.1896 1
Ni1 Ni 0.0000 0.0000 0.5950 1
Cl1 Cl 0.0000 0.0000 0.7631 1
```

Top 6 peaks for 15 to 90 degrees two-theta, in order of rising 2θ:
27.52 deg, intensity 40, hkl 0 1 2
33.12 deg, intensity 100, hkl 0 1 5
38.63 deg, intensity 36, hkl 1 0 7
46.48 deg, intensity 42, hkl 1 1 0
48.58 deg, intensity 28, hkl 0 0 12
69.49 deg, intensity 22, hkl 1 1 12

Record 11
The following is a theoretical powder diffraction line list of Pr6ErIn5. It was derived from the PBE geometry in Alexandria, using λ = 1.5418 Å (Cu Kα).
Peak positions follow from Bragg's law for the DFT cell and can differ from measured ones.

Structure:
```
data_Pr6ErIn5
_cell_length_a 5.099
_cell_length_b 9.186
_cell_length_c 15.409
_cell_angle_alpha 90.00
_cell_angle_beta 90.00
_cell_angle_gamma 90.00
_symmetry_space_group_name_H-M 'I m m m'
_symmetry_Int_Tables_number 71
_symmetry_space_group_name_Hall '-I 2 2'
loop_
_atom_site_label
_atom_site_type_symbol
_atom_site_fract_x
_atom_site_fract_y
_atom_site_fract_z
_atom_site_occupancy
Pr1 Pr 0.000 0.235 0.000 1
Pr2 Pr 0.000 0.260 0.329 1
Er1 Er 0.000 0.000 0.500 1
In1 In 0.000 0.000 0.171 1
In2 In 0.000 0.500 0.153 1
In3 In 0.000 0.500 0.500 1
```

Top 6 peaks for 15 to 90 degrees two-theta, in order of rising 2θ:
31.47 deg, intensity 100, hkl 1 2 3
34.94 deg, intensity 18, hkl 0 0 6
35.20 deg, intensity 19, hkl 2 0 0
39.23 deg, intensity 13, hkl 0 4 0
60.50 deg, intensity 14, hkl 1 2 9
60.85 deg, intensity 15, hkl 3 2 3

Record 12
The following is a theoretical powder diffraction line list of Dy2ErSc5. It was derived from the PBE geometry in Alexandria, using λ = 1.5418 Å (Cu Kα).
Peak positions follow from Bragg's law for the DFT cell and can differ from measured ones.

Structure:
```
data_Dy2ErSc5
_cell_length_a 6.847
_cell_length_b 10.663
_cell_length_c 11.853
_cell_angle_alpha 90.00
_cell_angle_beta 90.00
_cell_angle_gamma 90.00
_symmetry_space_group_name_H-M 'F m m 2'
_symmetry_Int_Tables_number 42
_symmetry_space_group_name_Hall 'F 2 -2'
loop_
_atom_site_label
_atom_site_type_symbol
_atom_site_fract_x
_atom_site_fract_y
_atom_site_fract_z
_atom_site_occupancy
Dy1 Dy 0.000 0.246 0.000 1
Er1 Er 0.000 0.000 0.330 1
Sc1 Sc 0.000 0.000 0.829 1
Sc2 Sc 0.248 0.000 0.584 1
Sc3 Sc 0.250 0.250 0.247 1
```

Top 6 peaks for 15 to 90 degrees two-theta, in order of rising 2θ:
22.43 deg, intensity 26, hkl 0 2 2
30.15 deg, intensity 26, hkl 0 0 4
33.62 deg, intensity 24, hkl 0 4 0
34.62 deg, intensity 100, hkl 2 2 2
60.77 deg, intensity 19, hkl 2 6 2
64.73 deg, intensity 20, hkl 4 4 0

Record 13
The following is a theoretical powder diffraction line list of Nb5Ga6. It was derived from the PBE geometry in Alexandria, using λ = 1.5418 Å (Cu Kα).
Peak positions follow from Bragg's law for the DFT cell and can differ from measured ones.

Structure:
```
data_Nb5Ga6
_cell_length_a 5.338
_cell_length_b 11.452
_cell_length_c 6.688
_cell_angle_alpha 90.00
_cell_angle_beta 111.04
_cell_angle_gamma 90.00
_symmetry_space_group_name_H-M 'C 1 2/m 1'
_symmetry_Int_Tables_number 12
_symmetry_space_group_name_Hall '-C 2y'
loop_
_atom_site_label
_atom_site_type_symbol
_atom_site_fract_x
_atom_site_fract_y
_atom_site_fract_z
_atom_site_occupancy
Nb1 Nb 0.000 0.000 0.000 1
Nb2 Nb 0.000 0.279 0.000 1
Nb3 Nb 0.000 0.348 0.500 1
Ga1 Ga 0.039 0.500 0.203 1
Ga2 Ga 0.050 0.137 0.693 1
```

Top 6 peaks for 15 to 90 degrees two-theta, in order of rising 2θ:
34.46 deg, intensity 89, hkl 0 4 1
36.06 deg, intensity 100, hkl 2 0 0
36.54 deg, intensity 99, hkl 1 3 -2
41.34 deg, intensity 46, hkl 1 1 -3
46.08 deg, intensity 77, hkl 1 3 2
46.54 deg, intensity 71, hkl 2 4 -1